This entry pairs a crystal structure of HoSi2Ni2 with its calculated X-ray diffraction stick pattern. Radiation: CuKα. Structure: a structure optimized by DFT (GGA-PBE).
Peak positions follow from Bragg's law for the DFT cell and can differ from measured ones.

Peak list (8 most intense, 2θ from 10° to 90°, low angle first)
2θ = 24.4°, 3.651 Å, I 51, hkl 1 0 1
2θ = 36.4°, 2.471 Å, I 52, hkl 1 0 3
2θ = 37.3°, 2.409 Å, I 100, hkl 1 1 2
2θ = 45.9°, 1.977 Å, I 39, hkl 2 0 0
2θ = 53.5°, 1.712 Å, I 17, hkl 1 0 5
2θ = 59.9°, 1.544 Å, I 24, hkl 2 1 3
2θ = 68.1°, 1.377 Å, I 17, hkl 1 1 6
2θ = 79.2°, 1.209 Å, I 21, hkl 3 1 2

Structural model:
Unit cell a=3.9546 b=3.9546 c=9.4957 alpha=90.00 beta=90.00 gamma=90.00
Space group I4/mmm (No. 139)
One atom of each set of equivalent atoms:
Ho 0.0000 0.0000 0.0000 [2 per cell]
Si 0.0000 0.0000 0.3737 [4 per cell]
Ni 0.0000 0.5000 0.2500 [4 per cell]